LiFe2P5O15: computed powder diffraction line list (a wavelength of 1.5418 Å), based on a crystal structure in the Materials Project, relaxed with GGA+U.
Lines closer than 0.1° are merged.

The 12 most intense peaks (10° ≤ 2θ ≤ 80°), by angle:
d = 6.530 Å, rel. 12; d = 5.579 Å, rel. 100; d = 4.494 Å, rel. 21; d = 4.360 Å, rel. 16; d = 3.833 Å, rel. 31; d = 3.561 Å, rel. 21; d = 3.438 Å, rel. 62; d = 3.268 Å, rel. 60; d = 3.249 Å, rel. 78; d = 2.890 Å, rel. 37; d = 2.677 Å, rel. 12; d = 2.333 Å, rel. 18

Cell and atoms:
a b c (Å): 7.291 7.291 13.210
angles (deg): 94.25 94.25 116.05
Fractional positions:
Li 0.084 0.916 0.500
Li 0.916 0.084 0.000
Fe 0.180 0.238 0.684
Fe 0.238 0.180 0.184
Fe 0.273 0.753 0.044
Fe 0.753 0.273 0.544
P 0.034 0.768 0.260
P 0.194 0.413 0.477
P 0.316 0.939 0.778
P 0.413 0.194 0.977
P 0.564 0.657 0.230
P 0.589 0.808 0.450
P 0.657 0.564 0.730
P 0.768 0.034 0.760
P 0.808 0.589 0.950
P 0.939 0.316 0.278
O 0.022 0.545 0.243
O 0.043 0.482 0.518
O 0.125 0.877 0.363
O 0.136 0.340 0.357
O 0.153 0.875 0.173
O 0.192 0.958 0.685
O 0.215 0.242 0.528
O 0.242 0.215 0.028
O 0.256 0.753 0.831
O 0.340 0.136 0.857
O 0.415 0.600 0.484
O 0.432 0.476 0.743
O 0.476 0.432 0.243
O 0.482 0.043 0.018
O 0.482 0.715 0.137
O 0.530 0.779 0.327
O 0.545 0.022 0.743
O 0.549 0.984 0.492
O 0.600 0.415 0.984
O 0.715 0.482 0.637
O 0.741 0.806 0.732
O 0.753 0.256 0.331
O 0.779 0.530 0.827
O 0.792 0.814 0.476
O 0.806 0.741 0.232
O 0.814 0.792 0.976
O 0.875 0.153 0.673
O 0.877 0.125 0.863
O 0.958 0.192 0.185
O 0.984 0.549 0.992